(1)
Structure and calculated powder XRD pattern of PtN (a crystal structure in the Materials Project, relaxed with PBE; Cu Kα (λ = 1.5418 Å)).
Peak positions follow from Bragg's law for the DFT cell and can differ from measured ones.

Top 4 peaks for 5 to 70 degrees two-theta, most intense first:
Position (°2θ), I/Imax
34.6, 100
40.1, 66
58.1, 45
69.4, 43

Structure:
a = 4.493 Å, b = 4.493 Å, c = 4.493 Å
α = 90.00°, β = 90.00°, γ = 90.00°
Space group Fm-3m (No. 225)
One atom of each set of equivalent atoms:
Pt: 0.000 0.000 0.000 [4 per cell]
N: 0.000 0.000 0.500 [4 per cell]

---

(2)
Structure and calculated powder XRD pattern of Cs2LiF3 (a crystal structure in the Materials Project, relaxed with PBE; Cu Kα (λ = 1.5418 Å)).
Peak positions follow from Bragg's law for the DFT cell and can differ from measured ones.

Top 10 peaks for 5 to 70 degrees two-theta, most intense first:
Position (°2θ), I/Imax
30.9, 100
21.7, 96
27.5, 75
42.8, 60
28.8, 53
46.7, 30
68.8, 27
39.3, 19
52.3, 19
47.0, 17

Structure:
a = 3.868 Å, b = 21.757 Å, c = 6.192 Å
α = 90.00°, β = 90.00°, γ = 90.00°
Space group Cmcm (No. 63)
One atom of each set of equivalent atoms:
Cs: 0.000 0.084 0.250 [4 per cell]
Cs: 0.000 0.298 0.250 [4 per cell]
Li: 0.000 0.453 0.250 [4 per cell]
F: 0.000 0.091 0.750 [4 per cell]
F: 0.000 0.302 0.750 [4 per cell]
F: 0.000 0.500 0.000 [4 per cell]

---

(3)
Structure and calculated powder XRD pattern of CuO (a crystal structure in the Materials Project, relaxed with PBE; Cu Kα (λ = 1.5418 Å)).
Peak positions follow from Bragg's law for the DFT cell and can differ from measured ones.

Top 3 peaks for 5 to 70 degrees two-theta, most intense first:
Position (°2θ), I/Imax
42.7, 100
36.8, 80
62.0, 58

Structure:
a = 4.233 Å, b = 4.233 Å, c = 4.233 Å
α = 90.00°, β = 90.00°, γ = 90.00°
Space group Fm-3m (No. 225)
One atom of each set of equivalent atoms:
Cu: 0.000 0.000 0.000 [4 per cell]
O: 0.000 0.000 0.500 [4 per cell]

---

(4)
Structure and calculated powder XRD pattern of Eu4Bi3 (a crystal structure in the Materials Project, relaxed with PBE; Cu Kα (λ = 1.5418 Å)).
Peak positions follow from Bragg's law for the DFT cell and can differ from measured ones.

Top 10 peaks for 5 to 70 degrees two-theta, most intense first:
Position (°2θ), I/Imax
28.3, 100
33.6, 68
56.9, 32
69.3, 20
40.5, 20
46.4, 19
60.2, 16
44.5, 14
42.5, 14
58.6, 12

Structure:
a = 9.969 Å, b = 9.969 Å, c = 9.969 Å
α = 90.00°, β = 90.00°, γ = 90.00°
Space group I-43d (No. 220)
One atom of each set of equivalent atoms:
Eu: 0.074 0.426 0.574 [16 per cell]
Bi: 0.000 0.250 0.875 [12 per cell]

---

(5)
Structure and calculated powder XRD pattern of Na2PdF6 (a crystal structure in the Materials Project, relaxed with PBE; Cu Kα (λ = 1.5418 Å)).
Peak positions follow from Bragg's law for the DFT cell and can differ from measured ones.

Top 10 peaks for 5 to 70 degrees two-theta, most intense first:
Position (°2θ), I/Imax
20.0, 100
19.0, 93
48.1, 57
27.7, 53
33.8, 41
52.2, 37
37.4, 29
25.4, 27
63.2, 21
33.2, 19

Structure:
a = 9.3506 Å, b = 9.3506 Å, c = 5.3051 Å
α = 90.00°, β = 90.00°, γ = 120.00°
Space group P321 (No. 150)
One atom of each set of equivalent atoms:
Na: 0.0000 0.2920 0.0000 [3 per cell]
Na: 0.0000 0.6253 0.5000 [3 per cell]
Pd: 0.0000 0.0000 0.5000 [1 per cell]
Pd: 0.3333 0.6667 0.9945 [2 per cell]
F: 0.0928 0.8924 0.7040 [6 per cell]
F: 0.1368 0.5456 0.7848 [6 per cell]
F: 0.2177 0.7490 0.2026 [6 per cell]

---

(6)
Structure and calculated powder XRD pattern of Na8TiO6 (a crystal structure in the Materials Project, relaxed with PBE; Cu Kα (λ = 1.5418 Å)).
Peak positions follow from Bragg's law for the DFT cell and can differ from measured ones.

Top 10 peaks for 5 to 70 degrees two-theta, most intense first:
Position (°2θ), I/Imax
32.8, 100
36.7, 85
31.7, 65
18.5, 55
54.0, 53
37.5, 38
30.4, 37
15.7, 36
45.5, 29
39.8, 28

Structure:
a = 13.939 Å, b = 6.631 Å, c = 9.592 Å
α = 90.00°, β = 90.00°, γ = 90.00°
Space group Pna2_1 (No. 33)
One atom of each set of equivalent atoms:
Na: 0.013 0.012 0.000 [4 per cell]
Na: 0.063 0.773 0.751 [4 per cell]
Na: 0.071 0.418 0.416 [4 per cell]
Na: 0.077 0.440 0.057 [4 per cell]
Na: 0.115 0.837 0.238 [4 per cell]
Na: 0.220 0.050 0.044 [4 per cell]
Na: 0.229 0.079 0.425 [4 per cell]
Na: 0.250 0.421 0.234 [4 per cell]
Ti: 0.124 0.281 0.739 [4 per cell]
O: 0.017 0.290 0.854 [4 per cell]
O: 0.118 0.209 0.232 [4 per cell]
O: 0.121 0.058 0.623 [4 per cell]
O: 0.126 0.508 0.630 [4 per cell]
O: 0.126 0.758 0.985 [4 per cell]
O: 0.234 0.250 0.843 [4 per cell]